No. 1
For UNi2Ge2, the PBE geometry in the Materials Project gives the theoretical powder X-ray diffraction pattern in this record (Cu Kα).
No peak broadening, texture or thermal motion is included.

Peak list (10 most intense, 2θ = 10–90°, in order of falling intensity)
- 2.472 Å, 36.3°, rel. 100
- 2.541 Å, 35.3°, rel. 97
- 2.026 Å, 44.7°, rel. 57
- 1.584 Å, 58.3°, rel. 47
- 2.865 Å, 31.2°, rel. 36
- 3.743 Å, 23.8°, rel. 33
- 1.763 Å, 51.9°, rel. 31
- 1.330 Å, 70.9°, rel. 25
- 1.239 Å, 76.9°, rel. 23
- 1.418 Å, 65.9°, rel. 18

Crystal structure
Unit cell a=4.051 b=4.051 c=9.788 alpha=90.00 beta=90.00 gamma=90.00
Fractional positions:
U (0.000, 0.000, 0.000)
U (0.500, 0.500, 0.500)
Ni (0.000, 0.500, 0.250)
Ni (0.000, 0.500, 0.750)
Ni (0.500, 0.000, 0.250)
Ni (0.500, 0.000, 0.750)
Ge (0.000, 0.000, 0.374)
Ge (0.000, 0.000, 0.626)
Ge (0.500, 0.500, 0.126)
Ge (0.500, 0.500, 0.874)

---

No. 2
For UNiGe, the PBE geometry in the Materials Project gives the theoretical powder X-ray diffraction pattern in this record (Cu Kα).
No peak broadening, texture or thermal motion is included.

Peak list (10 most intense, 2θ = 10–90°, in order of falling intensity)
- 2.505 Å, 35.8°, rel. 100
- 2.542 Å, 35.3°, rel. 45
- 3.677 Å, 24.2°, rel. 38
- 2.464 Å, 36.5°, rel. 36
- 2.149 Å, 42.1°, rel. 31
- 2.074 Å, 43.7°, rel. 31
- 1.551 Å, 59.6°, rel. 23
- 1.619 Å, 56.9°, rel. 20
- 1.332 Å, 70.7°, rel. 19
- 2.237 Å, 40.3°, rel. 17

Crystal structure
Unit cell a=6.845 b=4.297 c=7.102 alpha=90.00 beta=90.00 gamma=90.00
Fractional positions:
U (0.017, 0.250, 0.200)
U (0.483, 0.750, 0.700)
U (0.517, 0.250, 0.300)
U (0.983, 0.750, 0.800)
Ni (0.191, 0.750, 0.421)
Ni (0.309, 0.250, 0.921)
Ni (0.691, 0.750, 0.079)
Ni (0.809, 0.250, 0.579)
Ge (0.195, 0.250, 0.592)
Ge (0.305, 0.750, 0.092)
Ge (0.695, 0.250, 0.908)
Ge (0.805, 0.750, 0.408)

---

No. 3
For YNiGe3, the PBE geometry in the Materials Project gives the theoretical powder X-ray diffraction pattern in this record (Cu Kα).
No peak broadening, texture or thermal motion is included.

Peak list (10 most intense, 2θ = 10–90°, in order of falling intensity)
- 2.693 Å, 33.3°, rel. 100
- 2.712 Å, 33.0°, rel. 31
- 2.056 Å, 44.0°, rel. 29
- 2.048 Å, 44.2°, rel. 29
- 1.855 Å, 49.1°, rel. 22
- 2.080 Å, 43.5°, rel. 21
- 1.451 Å, 64.2°, rel. 19
- 1.279 Å, 74.1°, rel. 14
- 1.638 Å, 56.1°, rel. 13
- 1.459 Å, 63.8°, rel. 13

Crystal structure
Unit cell a=11.045 b=11.045 c=4.096 alpha=90.00 beta=90.00 gamma=158.54
Fractional positions:
Y (0.169, 0.831, 0.000)
Y (0.831, 0.169, 0.000)
Ni (0.390, 0.610, 0.500)
Ni (0.610, 0.390, 0.500)
Ge (0.057, 0.943, 0.500)
Ge (0.283, 0.717, 0.500)
Ge (0.443, 0.557, 0.000)
Ge (0.557, 0.443, 0.000)
Ge (0.717, 0.283, 0.500)
Ge (0.943, 0.057, 0.500)

---

No. 4
For YNiGe2, the PBE geometry in the Materials Project gives the theoretical powder X-ray diffraction pattern in this record (Cu Kα).
No peak broadening, texture or thermal motion is included.

Peak list (10 most intense, 2θ = 10–90°, in order of falling intensity)
- 2.593 Å, 34.6°, rel. 100
- 2.581 Å, 34.8°, rel. 36
- 2.104 Å, 43.0°, rel. 34
- 2.047 Å, 44.2°, rel. 31
- 2.314 Å, 38.9°, rel. 28
- 1.467 Å, 63.4°, rel. 20
- 1.631 Å, 56.4°, rel. 17
- 1.533 Å, 60.4°, rel. 15
- 1.846 Å, 49.4°, rel. 14
- 1.863 Å, 48.9°, rel. 14

Crystal structure
Unit cell a=4.095 b=16.628 c=4.207 alpha=90.00 beta=90.00 gamma=90.00
Fractional positions:
Y (0.000, 0.108, 0.250)
Y (0.000, 0.892, 0.750)
Y (0.500, 0.392, 0.750)
Y (0.500, 0.608, 0.250)
Ni (0.000, 0.321, 0.250)
Ni (0.000, 0.679, 0.750)
Ni (0.500, 0.179, 0.750)
Ni (0.500, 0.821, 0.250)
Ge (0.000, 0.253, 0.750)
Ge (0.000, 0.458, 0.250)
Ge (0.000, 0.542, 0.750)
Ge (0.000, 0.747, 0.250)
Ge (0.500, 0.042, 0.750)
Ge (0.500, 0.247, 0.250)
Ge (0.500, 0.753, 0.750)
Ge (0.500, 0.958, 0.250)

---

Which formula does entry 4 have? YNiGe2